(1)
For BaTmAlTe4, a crystal structure in Alexandria, relaxed with GGA-PBE gives the theoretical X-ray diffraction stick pattern in this record (Cu Kα, 1.54184 Å).
Lines closer than 0.1° are merged.

Main lines, in order of falling intensity (2θ = 10–80°):
29.44 deg, I = 100, (1 1 2); 26.55 deg, I = 100, (1 2 0); 30.02 deg, I = 86, (2 1 -2); 31.06 deg, I = 80, (1 2 -2); 30.87 deg, I = 76, (0 2 2); 27.00 deg, I = 65, (1 0 2); 27.62 deg, I = 58, (2 0 -2); 17.25 deg, I = 49, (1 1 0)

Structural model:
```
data_BaTmAlTe4
_chemical_formula_sum 'Ba2 Tm2 Al2 Te8'
_cell_length_a 7.2507
_cell_length_b 7.6773
_cell_length_c 9.2447
_cell_angle_alpha 90.00
_cell_angle_beta 107.30
_cell_angle_gamma 90.00
_symmetry_space_group_name_H-M 'P 1 21/m 1'
_symmetry_Int_Tables_number 11
loop_
_symmetry_equiv_pos_as_xyz
'x,y,z'
'-x,-y,-z'
'-x,y+1/2,-z'
'x,-y+1/2,z'
loop_
_atom_site_label
_atom_site_fract_x
_atom_site_fract_y
_atom_site_fract_z
Ba1 0.2216 0.2500 0.0510
Tm1 0.2308 0.2500 0.5575
Al1 0.2325 0.7500 0.3296
Te1 0.0158 0.5097 0.7154
Te2 0.4285 0.7500 0.1363
Te3 0.4606 0.7500 0.6016
```

---

(2)
For Al3Ag2Au8, a crystal structure in Alexandria, relaxed with GGA-PBE gives the theoretical X-ray diffraction stick pattern in this record (Cu Kα, 1.54184 Å).
Lines closer than 0.1° are merged.

Main lines, in order of falling intensity (2θ = 10–80°):
38.33 deg, I = 100, (4 2 -1); 28.68 deg, I = 57, (0 2 1); 39.06 deg, I = 51, (0 4 0); 28.93 deg, I = 35, (4 0 0); 44.49 deg, I = 34, (3 3 1); 34.40 deg, I = 34, (3 1 1); 43.36 deg, I = 28, (1 1 -2); 74.68 deg, I = 17, (2 2 3)

Structural model:
```
data_Al3Ag2Au8
_chemical_formula_sum 'Al6 Ag4 Au16'
_cell_length_a 12.5367
_cell_length_b 9.2234
_cell_length_c 4.2847
_cell_angle_alpha 90.00
_cell_angle_beta 100.07
_cell_angle_gamma 90.00
_symmetry_space_group_name_H-M 'C 1 2/m 1'
_symmetry_Int_Tables_number 12
loop_
_symmetry_equiv_pos_as_xyz
'x,y,z'
'-x,-y,-z'
'-x,y,-z'
'x,-y,z'
'x+1/2,y+1/2,z'
'-x+1/2,-y+1/2,-z'
'-x+1/2,y+1/2,-z'
'x+1/2,-y+1/2,z'
loop_
_atom_site_label
_atom_site_fract_x
_atom_site_fract_y
_atom_site_fract_z
Al1 0.0000 0.0000 0.0000
Al2 0.0000 0.2559 0.5000
Ag1 0.2145 0.5000 0.8637
Au1 0.0744 0.5000 0.2939
Au2 0.1281 0.0000 0.5623
Au3 0.1336 0.2280 0.0613
```

---

(3)
For Na2CaBr4, a crystal structure in Alexandria, relaxed with GGA-PBE gives the theoretical X-ray diffraction stick pattern in this record (Cu Kα, 1.54184 Å).
Lines closer than 0.1° are merged.

Main lines, in order of falling intensity (2θ = 10–80°):
25.00 deg, I = 100, (2 0 2); 28.86 deg, I = 70, (2 2 0); 41.47 deg, I = 63, (2 2 4); 29.12 deg, I = 35, (0 0 4); 41.28 deg, I = 31, (4 0 0); 48.87 deg, I = 26, (4 2 2); 51.31 deg, I = 24, (4 0 4); 12.43 deg, I = 17, (1 0 1)

Structural model:
```
data_Na2CaBr4
_chemical_formula_sum 'Na8 Ca4 Br16'
_cell_length_a 8.7487
_cell_length_b 8.7487
_cell_length_c 12.2652
_cell_angle_alpha 90.00
_cell_angle_beta 90.00
_cell_angle_gamma 90.00
_symmetry_space_group_name_H-M 'P 41 2 2'
_symmetry_Int_Tables_number 91
loop_
_symmetry_equiv_pos_as_xyz
'x,y,z'
'-y,x,z+1/4'
'-x,-y,z+1/2'
'y,-x,z+3/4'
'x,-y,-z+1/2'
'-y,-x,-z+1/4'
'-x,y,-z'
'y,x,-z+3/4'
loop_
_atom_site_label
_atom_site_fract_x
_atom_site_fract_y
_atom_site_fract_z
Na1 0.0000 0.2438 0.0000
Na2 0.2482 0.2482 0.3750
Ca1 0.2457 0.5000 0.7500
Br1 0.0212 0.2585 0.7554
Br2 0.2585 0.4819 0.9887
```

---

(4)
For Ba3Al2, a crystal structure in Alexandria, relaxed with GGA-PBE gives the theoretical X-ray diffraction stick pattern in this record (Cu Kα, 1.54184 Å).
Lines closer than 0.1° are merged.

Main lines, in order of falling intensity (2θ = 10–80°):
25.85 deg, I = 100, (1 1 1); 26.71 deg, I = 75, (0 4 1); 24.60 deg, I = 73, (1 3 0); 47.42 deg, I = 38, (2 4 1); 42.08 deg, I = 36, (1 3 2); 33.59 deg, I = 28, (0 0 2); 45.17 deg, I = 27, (1 7 1); 19.61 deg, I = 26, (0 2 1)

Structural model:
```
data_Ba3Al2
_chemical_formula_sum 'Ba6 Al4'
_cell_length_a 4.6820
_cell_length_b 17.1078
_cell_length_c 5.3359
_cell_angle_alpha 90.00
_cell_angle_beta 90.00
_cell_angle_gamma 90.00
_symmetry_space_group_name_H-M 'C m m m'
_symmetry_Int_Tables_number 65
_symmetry_space_group_name_Hall '-C 2 2'
loop_
_atom_site_label
_atom_site_fract_x
_atom_site_fract_y
_atom_site_fract_z
Ba1 0.0000 0.0000 0.0000
Ba2 0.0000 0.3517 0.5000
Al1 0.0000 0.2128 0.0000
```

---

(5)
For YNi2Ge4, a crystal structure in Alexandria, relaxed with GGA-PBE gives the theoretical X-ray diffraction stick pattern in this record (Cu Kα, 1.54184 Å).
Lines closer than 0.1° are merged.

Main lines, in order of falling intensity (2θ = 10–80°):
36.49 deg, I = 100, (2 1 2); 36.62 deg, I = 60, (5 1 1); 44.48 deg, I = 47, (0 2 0); 38.78 deg, I = 34, (7 0 1); 43.93 deg, I = 23, (3 0 3); 47.34 deg, I = 22, (6 1 2); 38.15 deg, I = 20, (6 1 0); 60.46 deg, I = 18, (7 2 1)

Structural model:
```
data_YNi2Ge4
_chemical_formula_sum 'Y4 Ni8 Ge16'
_cell_length_a 17.3582
_cell_length_b 4.0740
_cell_length_c 6.6148
_cell_angle_alpha 90.00
_cell_angle_beta 90.00
_cell_angle_gamma 90.00
_symmetry_space_group_name_H-M 'P n m a'
_symmetry_Int_Tables_number 62
loop_
_symmetry_equiv_pos_as_xyz
'x,y,z'
'-x,-y,-z'
'-x+1/2,-y,z+1/2'
'x+1/2,y,-z+1/2'
'x+1/2,-y+1/2,-z+1/2'
'-x+1/2,y+1/2,z+1/2'
'-x,y+1/2,-z'
'x,-y+1/2,z'
loop_
_atom_site_label
_atom_site_fract_x
_atom_site_fract_y
_atom_site_fract_z
Y1 0.1401 0.2500 0.0209
Ni1 0.0343 0.7500 0.7548
Ni2 0.2099 0.2500 0.4873
Ge1 0.0270 0.7500 0.1380
Ge2 0.0654 0.2500 0.5176
Ge3 0.1771 0.7500 0.7003
Ge4 0.2037 0.7500 0.2910
```

---

(6)
For HoScGaRu, a crystal structure in Alexandria, relaxed with GGA-PBE gives the theoretical X-ray diffraction stick pattern in this record (Cu Kα, 1.54184 Å).
Lines closer than 0.1° are merged.

Main lines, in order of falling intensity (2θ = 10–80°):
37.63 deg, I = 100, (2 2 0); 67.92 deg, I = 34, (4 2 2); 22.78 deg, I = 24, (1 1 1); 54.27 deg, I = 17, (4 0 0); 44.44 deg, I = 13, (3 1 1); 59.61 deg, I = 6, (3 3 1); 72.67 deg, I = 4, (5 1 1); 26.37 deg, I = 1, (2 0 0)

Structural model:
```
data_HoScGaRu
_chemical_formula_sum 'Ho4 Sc4 Ga4 Ru4'
_cell_length_a 6.7606
_cell_length_b 6.7606
_cell_length_c 6.7606
_cell_angle_alpha 90.00
_cell_angle_beta 90.00
_cell_angle_gamma 90.00
_symmetry_space_group_name_H-M 'F -4 3 m'
_symmetry_Int_Tables_number 216
_symmetry_space_group_name_Hall 'F -4 2 3'
loop_
_atom_site_label
_atom_site_fract_x
_atom_site_fract_y
_atom_site_fract_z
Ho1 0.0000 0.0000 0.0000
Sc1 0.0000 0.0000 0.5000
Ga1 0.2500 0.2500 0.7500
Ru1 0.2500 0.2500 0.2500
```

---

(7)
For RuBrCl6, a crystal structure in Alexandria, relaxed with GGA-PBE gives the theoretical X-ray diffraction stick pattern in this record (Cu Kα, 1.54184 Å).
Lines closer than 0.1° are merged.

Main lines, in order of falling intensity (2θ = 10–80°):
13.51 deg, I = 100, (1 1 -1); 16.27 deg, I = 44, (1 1 1); 25.28 deg, I = 28, (0 2 2); 19.06 deg, I = 24, (2 0 -2); 12.56 deg, I = 19, (1 1 0); 26.64 deg, I = 17, (3 1 -2); 18.45 deg, I = 16, (1 1 -2); 30.19 deg, I = 16, (1 3 0)

Structural model:
```
data_RuBrCl6
_chemical_formula_sum 'Ru4 Br4 Cl24'
_cell_length_a 11.5034
_cell_length_b 9.2253
_cell_length_c 11.4872
_cell_angle_alpha 90.00
_cell_angle_beta 108.19
_cell_angle_gamma 90.00
_symmetry_space_group_name_H-M 'C 1 2/c 1'
_symmetry_Int_Tables_number 15
loop_
_symmetry_equiv_pos_as_xyz
'x,y,z'
'-x,-y,-z'
'-x,y,-z+1/2'
'x,-y,z+1/2'
'x+1/2,y+1/2,z'
'-x+1/2,-y+1/2,-z'
'-x+1/2,y+1/2,-z+1/2'
'x+1/2,-y+1/2,z+1/2'
loop_
_atom_site_label
_atom_site_fract_x
_atom_site_fract_y
_atom_site_fract_z
Ru1 0.2500 0.2500 0.0000
Br1 0.0000 0.0212 0.7500
Cl1 0.0630 0.3083 0.0178
Cl2 0.1770 0.0117 0.9289
Cl3 0.1893 0.3385 0.8045
```